1.
TlHg2Au3: computed XRD peak list (a wavelength of 1.5418 Å), based on a DFT-relaxed cell (PBE, Alexandria).
Intensities are scaled so that the largest is 100.

Top 12 peaks for 2θ = 10–80°, in order of rising 2θ:
hkl  two_theta  I_rel
1 1 0  17.47  15.1
0 0 2  18.02  18.7
3 1 0  30.49  16.7
2 2 0  35.35  24.8
3 1 2  35.65  22.1
0 0 4  36.51  30.8
4 0 2  39.96  100.0
2 2 4  51.73  17.0
6 2 0  63.46  18.9
4 0 6  68.04  21.3
6 2 4  75.49  23.2
0 0 8  77.65  13.6

Structure:
```
data_TlHg2Au3
_chemical_formula_sum 'Tl4 Hg8 Au12'
_symmetry_space_group_name_H-M 'C m c m'
_symmetry_Int_Tables_number 63
_symmetry_space_group_name_Hall '-C 2c 2'
_cell_length_a 10.1520
_cell_length_b 5.8651
_cell_length_c 9.8440
_cell_angle_alpha 90.00
_cell_angle_beta 90.00
_cell_angle_gamma 90.00
loop_
_atom_site_label
_atom_site_type_symbol
_atom_site_fract_x
_atom_site_fract_y
_atom_site_fract_z
Tl1 Tl 0.0000 0.0012 0.2500
Hg1 Hg 0.1666 0.5000 0.0000
Au1 Au 0.0000 0.4986 0.7500
Au2 Au 0.2500 0.2491 0.7500
```


2.
CsZn3S3: computed XRD peak list (a wavelength of 1.5418 Å), based on a DFT-relaxed cell (PBE, Alexandria).
Intensities are scaled so that the largest is 100.

Top 12 peaks for 2θ = 10–80°, in order of rising 2θ:
hkl  two_theta  I_rel
0 0 3  10.55  14.2
1 0 1  14.67  15.7
0 1 2  15.90  13.3
1 1 3  27.01  100.0
0 0 9  32.04  28.5
2 -1 6  32.84  41.9
1 1 9  40.93  17.5
3 0 0  43.66  47.0
2 -1 12  50.42  22.1
4 -2 3  52.09  15.6
3 0 9  55.17  32.4
4 1 3  70.25  12.5

Structure:
```
data_CsZn3S3
_chemical_formula_sum 'Cs6 Zn18 S18'
_symmetry_space_group_name_H-M 'R -3'
_symmetry_Int_Tables_number 148
_symmetry_space_group_name_Hall '-R 3'
_cell_length_a 7.1821
_cell_length_b 7.1821
_cell_length_c 25.1459
_cell_angle_alpha 90.00
_cell_angle_beta 90.00
_cell_angle_gamma 120.00
loop_
_atom_site_label
_atom_site_type_symbol
_atom_site_fract_x
_atom_site_fract_y
_atom_site_fract_z
Cs1 Cs 0.0000 0.0000 0.1666
Zn1 Zn 0.0017 0.6716 0.6262
S1 S 0.0012 0.6655 0.3930
```


3.
P4H36WC12Cl2: computed XRD peak list (a wavelength of 1.5418 Å), based on a DFT-relaxed cell (PBE, Alexandria).
Intensities are scaled so that the largest is 100.

Top 12 peaks for 2θ = 10–80°, in order of rising 2θ:
hkl  two_theta  I_rel
1 0 1  11.35  100.0
1 1 0  12.68  28.7
0 0 2  13.95  18.8
1 1 2  18.89  9.8
2 1 1  21.31  16.8
2 2 0  25.53  12.9
3 1 0  28.60  10.2
2 2 2  29.21  10.6
1 1 4  30.94  7.8
3 2 1  33.50  20.8
2 2 4  38.28  8.2
5 0 1  46.57  8.1

Structure:
```
data_P4H36WC12Cl2
_chemical_formula_sum 'P8 H72 W2 C24 Cl4'
_symmetry_space_group_name_H-M 'I -4 2 m'
_symmetry_Int_Tables_number 121
_symmetry_space_group_name_Hall 'I -4 2'
_cell_length_a 9.8705
_cell_length_b 9.8705
_cell_length_c 12.6989
_cell_angle_alpha 90.00
_cell_angle_beta 90.00
_cell_angle_gamma 90.00
loop_
_atom_site_label
_atom_site_type_symbol
_atom_site_fract_x
_atom_site_fract_y
_atom_site_fract_z
P1 P 0.1759 0.1759 0.4685
H1 H 0.0491 0.3846 0.4290
H2 H 0.0806 0.2851 0.3148
H3 H 0.1125 0.2867 0.8693
H4 H 0.1658 0.1658 0.0546
H5 H 0.1828 0.3096 0.6299
W1 W 0.0000 0.0000 0.5000
C1 C 0.1254 0.3234 0.3881
C2 C 0.2408 0.2408 0.0810
Cl1 Cl 0.0000 0.0000 0.3059
```